No. 1
Starting from the GGA-PBE geometry in the Materials Project, the powder XRD pattern of CsHO was simulated for Cu Kα.
No peak broadening, texture or thermal motion is included.

Crystal structure
Cell: 4.489 12.085 4.547 Å, 90.00 90.00 90.00°
Space group Cmc2_1 (No. 36)
Unique sites:
Cs 0.000 0.140 0.000
H 0.000 0.451 0.876
O 0.000 0.388 0.011

Peak list (8 most intense, 2θ from 10° to 90°, low angle first)
h k l	2theta	Rel. int.
1 1 0	21.11	39
0 2 1	24.50	73
1 1 1	28.91	100
0 4 0	29.57	35
1 3 0	29.80	41
1 3 1	35.88	27
1 5 1	47.15	33
2 2 1	47.62	25

=====

No. 2
Starting from the GGA-PBE geometry in the Materials Project, the powder XRD pattern of ThP2H2CO8 was simulated for Cu Kα.
No peak broadening, texture or thermal motion is included.

Crystal structure
Cell: 9.074 10.819 8.637 Å, 90.00 90.00 90.00°
Space group Pna2_1 (No. 33)
Unique sites:
Th 0.234 0.106 0.000
P 0.128 0.414 0.855
P 0.163 0.909 0.644
H 0.117 0.518 0.100
H 0.241 0.079 0.485
C 0.208 0.492 0.023
O 0.008 0.911 0.570
O 0.041 0.584 0.381
O 0.139 0.801 0.060
O 0.162 0.978 0.799
O 0.170 0.488 0.708
O 0.182 0.279 0.851
O 0.216 0.774 0.661
O 0.237 0.282 0.507

Peak list (8 most intense, 2θ from 10° to 90°, low angle first)
h k l	2theta	Rel. int.
0 1 1	13.12	90
1 1 1	16.37	100
2 0 0	19.57	57
0 0 2	20.57	32
0 3 1	26.79	51
1 2 2	28.21	60
2 0 2	28.55	38
2 4 2	44.27	33

=====

No. 3
Starting from the GGA-PBE geometry in the Materials Project, the powder XRD pattern of Rb2NaMoI6 was simulated for Cu Kα.
No peak broadening, texture or thermal motion is included.

Crystal structure
Cell: 11.952 11.952 11.952 Å, 90.00 90.00 90.00°
Space group Fm-3m (No. 225)
Unique sites:
Rb 0.250 0.250 0.250
Na 0.000 0.000 0.000
Mo 0.000 0.000 0.500
I 0.000 0.000 0.264

Peak list (8 most intense, 2θ from 10° to 90°, low angle first)
h k l	2theta	Rel. int.
2 0 0	14.82	19
2 2 2	25.82	100
4 0 0	29.90	88
4 4 0	42.80	63
6 2 2	50.66	43
4 4 4	53.09	21
8 4 0	70.47	26
8 4 4	78.39	18

=====

No. 4
Starting from the GGA-PBE geometry in the Materials Project, the powder XRD pattern of PrRh was simulated for Cu Kα.
No peak broadening, texture or thermal motion is included.

Crystal structure
Cell: 3.975 11.058 4.308 Å, 90.00 90.00 90.00°
Space group Cmcm (No. 63)
Unique sites:
Pr 0.000 0.141 0.250
Rh 0.000 0.415 0.250

Peak list (8 most intense, 2θ from 10° to 90°, low angle first)
h k l	2theta	Rel. int.
1 1 1	31.68	100
0 4 0	32.38	31
1 3 0	33.15	25
0 4 1	38.70	23
1 3 1	39.35	61
0 0 2	41.94	26
2 0 0	45.65	21
2 0 2	63.71	15